[1]
Starting from a structure optimized by DFT (PBE), the powder diffraction line list of HfScAlRu was calculated for Cu Kα X-rays.

Structural model:
abc: 3.278 3.278 6.692
angles: 90.00 90.00 90.00
Space group P4mm (No. 99)
Symmetry-distinct sites (fractional):
Hf 0.000 0.000 0.000 x1
Sc 0.000 0.000 0.532 x1
Al 0.500 0.500 0.264 x1
Ru 0.500 0.500 0.772 x1

Top 10 peaks for 2θ from 5° to 70°, by angle:
2θ (°)  intensity  h k l
13.2  741  0 0 1
27.2  83  1 0 0
30.4  292  1 0 1
38.4  1000  1 0 2
38.9  497  1 1 0
41.2  193  1 1 1
49.4  160  1 0 3
54.9  82  0 0 4
56.1  168  2 0 0
69.3  160  1 1 4


[2]
Starting from a structure optimized by DFT (PBE), the powder diffraction line list of Ho3TePSe was calculated for Cu Kα X-rays.

Structural model:
abc: 6.901 14.447 6.800
angles: 90.00 107.46 90.00
Space group C2/c (No. 15)
Symmetry-distinct sites (fractional):
Ho 0.000 0.245 0.250 x4
Ho 0.234 0.068 0.998 x8
Te 0.000 0.251 0.750 x4
P 0.000 0.062 0.250 x4
Se 0.000 0.438 0.250 x4

Top 10 peaks for 2θ from 5° to 70°, by angle:
2θ (°)  intensity  h k l
22.8  443  1 1 1
24.5  472  1 3 -1
28.8  746  1 3 1
29.8  830  2 2 0
30.2  820  0 2 2
32.4  1000  2 0 -2
37.3  835  0 6 0
38.3  417  1 5 1
44.7  405  2 0 2
50.3  450  2 6 -2